Record 1
For NaMoAsO8, a structure optimized by DFT (PBE+U) gives the calculated powder diffractogram in this record (Cu Kα (λ = 1.5418 Å)).

Peak list (8 most intense, 10 to 90 degrees two-theta, by angle)
hkl 0 1 -1, 10.09 deg, I 54; hkl 1 -1 0, 13.46 deg, I 100; hkl 0 2 -2, 20.24 deg, I 28; hkl 1 2 -1, 24.88 deg, I 44; hkl 0 1 2, 26.15 deg, I 53; hkl 0 2 -3, 26.36 deg, I 30; hkl 0 3 -2, 27.38 deg, I 27; hkl 1 3 -2, 32.90 deg, I 32

Structural model:
a = 7.2887 Å, b = 10.2609 Å, c = 10.5532 Å
α = 115.73°, β = 97.24°, γ = 105.28°
Positions (direct):
Na: 0.0325 0.0476 0.3460
Na: 0.3884 0.4766 0.2825
Na: 0.6116 0.5234 0.7175
Na: 0.9675 0.9524 0.6540
Mo: 0.2855 0.7947 0.1388
Mo: 0.4195 0.8244 0.6614
Mo: 0.5805 0.1756 0.3386
Mo: 0.7145 0.2053 0.8612
As: 0.1396 0.5640 0.7584
As: 0.2800 0.0563 0.9982
As: 0.7200 0.9437 0.0018
As: 0.8604 0.4360 0.2416
O: 0.0594 0.7074 0.1535
O: 0.1032 0.5148 0.2774
O: 0.1046 0.0933 0.9063
O: 0.1576 0.8839 0.9967
O: 0.1663 0.2094 0.6167
O: 0.1711 0.3356 0.4352
O: 0.1909 0.7005 0.7004
O: 0.2514 0.8718 0.5726
O: 0.2620 0.4367 0.6645
O: 0.2786 0.6431 0.9371
O: 0.3390 0.0080 0.2912
O: 0.4009 0.2076 0.1712
O: 0.4289 0.4558 0.0039
O: 0.4357 0.0286 0.8840
O: 0.4516 0.7490 0.2303
O: 0.4703 0.6745 0.5269
O: 0.5297 0.3255 0.4731
O: 0.5484 0.2510 0.7697
O: 0.5643 0.9714 0.1160
O: 0.5711 0.5442 0.9961
O: 0.5991 0.7924 0.8288
O: 0.6610 0.9920 0.7088
O: 0.7214 0.3569 0.0629
O: 0.7380 0.5633 0.3355
O: 0.7486 0.1282 0.4274
O: 0.8091 0.2995 0.2996
O: 0.8289 0.6644 0.5648
O: 0.8337 0.7906 0.3833
O: 0.8424 0.1161 0.0033
O: 0.8954 0.9067 0.0937
O: 0.8968 0.4852 0.7226
O: 0.9406 0.2926 0.8465

Record 2
For MoAs2O7, a structure optimized by DFT (PBE+U) gives the calculated powder diffractogram in this record (Cu Kα (λ = 1.5418 Å)).

Peak list (8 most intense, 10 to 90 degrees two-theta, by angle)
hkl 1 0 -2, 13.02 deg, I 69; hkl 1 0 2, 18.04 deg, I 34; hkl 1 1 1, 23.72 deg, I 31; hkl 1 1 -3, 25.28 deg, I 100; hkl 1 0 4, 27.49 deg, I 34; hkl 2 1 1, 31.85 deg, I 53; hkl 3 0 -2, 33.15 deg, I 31; hkl 2 1 -5, 35.35 deg, I 20

Structural model:
a = 8.1050 Å, b = 4.6814 Å, c = 17.4350 Å
α = 90.00°, β = 108.31°, γ = 90.00°
Positions (direct):
Mo: 0.0623 0.0030 0.4035
Mo: 0.0623 0.4970 0.9035
Mo: 0.9377 0.5030 0.0965
Mo: 0.9377 0.9970 0.5965
As: 0.2251 0.5444 0.5573
As: 0.2251 0.9556 0.0573
As: 0.4103 0.5521 0.2888
As: 0.4103 0.9479 0.7888
As: 0.5897 0.0521 0.2112
As: 0.5897 0.4479 0.7112
As: 0.7749 0.0444 0.9427
As: 0.7749 0.4556 0.4427
O: 0.0194 0.2121 0.6795
O: 0.0194 0.2879 0.1795
O: 0.0968 0.2434 0.5246
O: 0.0968 0.2566 0.0246
O: 0.1553 0.7480 0.6240
O: 0.1553 0.7520 0.1240
O: 0.2079 0.2220 0.3787
O: 0.2079 0.2780 0.8787
O: 0.2428 0.7473 0.4778
O: 0.2428 0.7527 0.9778
O: 0.4332 0.0752 0.1056
O: 0.4332 0.4248 0.6056
O: 0.4429 0.1864 0.2647
O: 0.4429 0.3136 0.7647
O: 0.5571 0.6864 0.2353
O: 0.5571 0.8136 0.7353
O: 0.5668 0.5752 0.3944
O: 0.5668 0.9248 0.8944
O: 0.7572 0.2473 0.0222
O: 0.7572 0.2527 0.5222
O: 0.7921 0.7220 0.1213
O: 0.7921 0.7780 0.6213
O: 0.8447 0.2480 0.8760
O: 0.8447 0.2520 0.3760
O: 0.9032 0.7434 0.9754
O: 0.9032 0.7566 0.4754
O: 0.9806 0.7121 0.8205
O: 0.9806 0.7879 0.3205